[1]
The following is a simulated X-ray diffraction stick pattern of K3Np3Si2O13. It was derived from a GGA-PBE-relaxed structure, using Cu Kα (weighted mean of Kα1 and Kα2).
Intensities are scaled so that the largest is 100.

Top 10 peaks for 15 to 90 degrees two-theta, low angle first:
2θ (°)	I (rel.)	(hkl)
18.1	95.1	0 2 -1
20.9	43.1	0 0 2
22.5	24.8	1 0 0
27.7	45.8	0 2 1
29.0	100.0	1 2 -1
30.9	63.9	1 0 2
38.2	23.2	0 4 -1
44.7	42.7	-1 1 3
44.8	33.4	1 4 -1
54.5	18.9	2 2 1

Cell and atoms:
```
data_K3Np3Si2O13
_chemical_formula_sum 'K3 Np3 Si2 O13'
_symmetry_space_group_name_H-M 'P 1'
_symmetry_Int_Tables_number 1
_cell_length_a 3.9577
_cell_length_b 9.8010
_cell_length_c 9.8126
_cell_angle_alpha 119.79
_cell_angle_beta 90.02
_cell_angle_gamma 90.01
loop_
_symmetry_equiv_pos_as_xyz
'x,y,z'
loop_
_atom_site_label
_atom_site_fract_x
_atom_site_fract_y
_atom_site_fract_z
_atom_site_occupancy
K1 0.0000 0.0000 0.0000 1
K2 0.0001 0.2164 0.7739 1
K3 0.0000 0.4431 0.2162 1
Np1 0.5014 0.2409 0.4203 1
Np2 0.5014 0.6223 0.9762 1
Np3 0.5013 0.7966 0.5940 1
Si1 0.0597 0.5530 0.6635 1
Si2 0.9960 0.8861 0.3299 1
O1 0.4841 0.5533 0.6635 1
O2 0.4996 0.2143 0.5944 1
O3 0.4996 0.6226 0.3942 1
O4 0.4996 0.8226 0.0021 1
O5 0.5019 0.2395 0.2276 1
O6 0.5019 0.4308 0.9772 1
O7 0.5019 0.9885 0.7850 1
O8 0.9950 0.3877 0.4943 1
O9 0.9949 0.5496 0.8296 1
O10 0.9948 0.7230 0.6670 1
O11 0.9972 0.0463 0.3231 1
O12 0.9972 0.7199 0.1708 1
O13 0.9972 0.8934 0.4969 1
```

***

[2]
The following is a simulated X-ray diffraction stick pattern of SrCaEuBiO6. It was derived from a GGA-PBE-relaxed structure, using Cu Kα (weighted mean of Kα1 and Kα2).
Intensities are scaled so that the largest is 100.

Top 10 peaks for 15 to 90 degrees two-theta, low angle first:
2θ (°)	I (rel.)	(hkl)
20.5	38.5	2 0 0
29.2	100.0	2 2 0
41.8	31.3	4 0 0
47.0	18.1	4 2 0
51.8	41.7	4 2 2
60.6	19.8	4 4 0
64.7	8.7	6 0 0
68.7	18.5	6 2 0
76.3	6.6	4 4 4
83.7	22.2	6 4 2

Cell and atoms:
```
data_SrCaEuBiO6
_chemical_formula_sum 'Sr4 Ca4 Eu4 Bi4 O24'
_symmetry_space_group_name_H-M 'F -4 3 m'
_symmetry_Int_Tables_number 216
_symmetry_space_group_name_Hall 'F -4 2 3'
_cell_length_a 8.6466
_cell_length_b 8.6466
_cell_length_c 8.6466
_cell_angle_alpha 90.00
_cell_angle_beta 90.00
_cell_angle_gamma 90.00
loop_
_atom_site_label
_atom_site_fract_x
_atom_site_fract_y
_atom_site_fract_z
_atom_site_occupancy
Sr1 0.0000 0.0000 0.0000 1
Ca1 0.0000 0.0000 0.5000 1
Eu1 0.2500 0.2500 0.2500 1
Bi1 0.2500 0.2500 0.7500 1
O1 0.0072 0.2500 0.7500 1
```

***

[3]
The following is a simulated X-ray diffraction stick pattern of Na3TaSi3GeO12. It was derived from a GGA-PBE-relaxed structure, using Cu Kα (weighted mean of Kα1 and Kα2).
Intensities are scaled so that the largest is 100.

Top 10 peaks for 15 to 90 degrees two-theta, low angle first:
2θ (°)	I (rel.)	(hkl)
19.9	100.0	1 1 1
20.0	21.4	0 2 0
28.1	9.4	4 0 0
28.4	19.9	2 2 -2
31.5	18.3	3 1 1
31.7	33.9	3 1 -3
34.7	19.4	6 0 -2
35.0	23.4	3 3 -1
45.5	10.0	1 3 -3
54.3	11.3	9 1 -3

Cell and atoms:
```
data_Na3TaSi3GeO12
_chemical_formula_sum 'Na12 Ta4 Si12 Ge4 O48'
_symmetry_space_group_name_H-M 'C 1 c 1'
_symmetry_Int_Tables_number 9
_cell_length_a 15.5032
_cell_length_b 8.8655
_cell_length_c 8.9317
_cell_angle_alpha 90.00
_cell_angle_beta 124.94
_cell_angle_gamma 90.00
loop_
_symmetry_equiv_pos_as_xyz
'x,y,z'
'x,-y,z+1/2'
'x+1/2,y+1/2,z'
'x+1/2,-y+1/2,z+1/2'
loop_
_atom_site_label
_atom_site_fract_x
_atom_site_fract_y
_atom_site_fract_z
_atom_site_occupancy
Na1 0.0000 0.0533 0.0000 1
Na2 0.0565 0.2756 0.7138 1
Na3 0.3041 0.1177 0.9649 1
Ta1 0.1987 0.2540 0.1507 1
Si1 0.1615 0.1210 0.4804 1
Si2 0.3117 0.4617 0.9797 1
Si3 0.4469 0.1018 0.4695 1
Ge1 0.4119 0.2482 0.7873 1
O1 0.0460 0.3136 0.9835 1
O2 0.0578 0.1888 0.4614 1
O3 0.1542 0.0665 0.9877 1
O4 0.1617 0.1457 0.2982 1
O5 0.2256 0.3514 0.9779 1
O6 0.2436 0.4300 0.2998 1
O7 0.2686 0.1852 0.6642 1
O8 0.3412 0.1695 0.2817 1
O9 0.3865 0.4355 0.6627 1
O10 0.3932 0.3541 0.9658 1
O11 0.4406 0.1385 0.6419 1
O12 0.4501 0.0809 0.9558 1
```

***

[4]
The following is a simulated X-ray diffraction stick pattern of Ta6Ga5. It was derived from a GGA-PBE-relaxed structure, using Cu Kα (weighted mean of Kα1 and Kα2).
Intensities are scaled so that the largest is 100.

Top 10 peaks for 15 to 90 degrees two-theta, low angle first:
2θ (°)	I (rel.)	(hkl)
19.9	11.7	1 1 0
23.0	5.8	2 0 0
28.2	8.4	2 0 1
34.8	20.5	3 0 0
38.6	7.7	3 0 1
40.4	100.0	2 2 0
58.4	14.4	4 0 2
62.3	6.5	5 0 1
73.4	21.1	6 0 0
82.7	11.5	2 2 4

Cell and atoms:
```
data_Ta6Ga5
_chemical_formula_sum 'Ta12 Ga10'
_symmetry_space_group_name_H-M 'P 63/m m c'
_symmetry_Int_Tables_number 194
_symmetry_space_group_name_Hall '-P 6c 2c'
_cell_length_a 8.9404
_cell_length_b 8.9404
_cell_length_c 5.4713
_cell_angle_alpha 90.00
_cell_angle_beta 90.00
_cell_angle_gamma 120.00
loop_
_atom_site_label
_atom_site_fract_x
_atom_site_fract_y
_atom_site_fract_z
_atom_site_occupancy
Ta1 0.0000 0.5000 0.0000 1
Ta2 0.1532 0.3063 0.2500 1
Ga1 0.0000 0.0000 0.0000 1
Ga2 0.2056 0.4112 0.7500 1
Ga3 0.3333 0.6667 0.2500 1
```

***

[5]
The following is a simulated X-ray diffraction stick pattern of SrSO4. It was derived from a GGA-PBE-relaxed structure, using Cu Kα (weighted mean of Kα1 and Kα2).
Intensities are scaled so that the largest is 100.

Top 10 peaks for 15 to 90 degrees two-theta, low angle first:
2θ (°)	I (rel.)	(hkl)
21.3	12.5	1 1 1
24.7	100.0	2 0 0
35.1	70.9	2 2 0
41.5	39.2	3 1 1
43.4	32.0	2 2 2
57.0	30.7	4 2 0
63.0	24.2	4 2 2
67.4	11.9	5 1 1
74.3	14.6	4 4 0
79.6	15.9	4 4 2

Cell and atoms:
```
data_SrSO4
_chemical_formula_sum 'Sr4 S4 O16'
_symmetry_space_group_name_H-M 'F -4 3 m'
_symmetry_Int_Tables_number 216
_symmetry_space_group_name_Hall 'F -4 2 3'
_cell_length_a 7.2232
_cell_length_b 7.2232
_cell_length_c 7.2232
_cell_angle_alpha 90.00
_cell_angle_beta 90.00
_cell_angle_gamma 90.00
loop_
_atom_site_label
_atom_site_fract_x
_atom_site_fract_y
_atom_site_fract_z
_atom_site_occupancy
Sr1 0.0000 0.0000 0.0000 1
S1 0.0000 0.0000 0.5000 1
O1 0.1189 0.1189 0.3811 1
```

***

[6]
The following is a simulated X-ray diffraction stick pattern of LiHO2. It was derived from a GGA-PBE-relaxed structure, using Cu Kα (weighted mean of Kα1 and Kα2).
Intensities are scaled so that the largest is 100.

Top 10 peaks for 15 to 90 degrees two-theta, low angle first:
2θ (°)	I (rel.)	(hkl)
28.5	68.0	1 1 -1
29.8	62.4	0 0 1
38.2	100.0	2 2 0
38.5	74.6	2 2 -1
53.2	11.1	4 0 -1
54.1	30.8	1 3 1
54.5	14.1	3 3 -1
61.7	9.2	4 0 0
62.5	8.7	4 0 -2
67.3	10.0	1 5 -1

Cell and atoms:
```
data_LiHO2
_chemical_formula_sum 'Li4 H4 O8'
_symmetry_space_group_name_H-M 'C 1 2/m 1'
_symmetry_Int_Tables_number 12
_cell_length_a 6.8927
_cell_length_b 7.6096
_cell_length_c 3.4394
_cell_angle_alpha 90.00
_cell_angle_beta 119.28
_cell_angle_gamma 90.00
loop_
_symmetry_equiv_pos_as_xyz
'x,y,z'
'-x,-y,-z'
'-x,y,-z'
'x,-y,z'
'x+1/2,y+1/2,z'
'-x+1/2,-y+1/2,-z'
'-x+1/2,y+1/2,-z'
'x+1/2,-y+1/2,z'
loop_
_atom_site_label
_atom_site_fract_x
_atom_site_fract_y
_atom_site_fract_z
_atom_site_occupancy
Li1 0.0000 0.1856 0.0000 1
H1 0.2164 0.5000 0.3083 1
O1 0.0000 0.3116 0.5000 1
O2 0.2159 0.0000 0.3672 1
```

***

[7]
The following is a simulated X-ray diffraction stick pattern of Cs2RbTlI6. It was derived from a GGA-PBE-relaxed structure, using Cu Kα (weighted mean of Kα1 and Kα2).
Intensities are scaled so that the largest is 100.

Top 10 peaks for 15 to 90 degrees two-theta, low angle first:
2θ (°)	I (rel.)	(hkl)
19.3	26.9	2 2 0
23.7	60.1	2 2 2
27.4	100.0	4 0 0
30.7	12.2	4 2 0
35.8	12.0	5 1 1
39.1	73.4	4 4 0
46.2	24.8	6 2 2
48.4	25.3	4 4 4
63.9	30.6	8 4 0
70.9	21.6	8 4 4

Cell and atoms:
```
data_Cs2RbTlI6
_chemical_formula_sum 'Cs8 Rb4 Tl4 I24'
_symmetry_space_group_name_H-M 'F m -3 m'
_symmetry_Int_Tables_number 225
_symmetry_space_group_name_Hall '-F 4 2 3'
_cell_length_a 13.0216
_cell_length_b 13.0216
_cell_length_c 13.0216
_cell_angle_alpha 90.00
_cell_angle_beta 90.00
_cell_angle_gamma 90.00
loop_
_atom_site_label
_atom_site_fract_x
_atom_site_fract_y
_atom_site_fract_z
_atom_site_occupancy
Cs1 0.2500 0.2500 0.2500 1
Rb1 0.0000 0.0000 0.0000 1
Tl1 0.0000 0.0000 0.5000 1
I1 0.0000 0.0000 0.2681 1
```

***

[8]
The following is a simulated X-ray diffraction stick pattern of SnPbO3. It was derived from a GGA-PBE-relaxed structure, using Cu Kα (weighted mean of Kα1 and Kα2).
Intensities are scaled so that the largest is 100.

Top 10 peaks for 15 to 90 degrees two-theta, low angle first:
2θ (°)	I (rel.)	(hkl)
30.2	20.0	0 4 0
30.7	100.0	1 2 2
43.6	21.0	2 4 0
44.3	10.2	0 0 4
54.0	18.4	1 6 2
54.5	24.7	0 4 4
54.8	8.9	2 0 4
63.8	15.5	2 4 4
73.0	7.5	1 2 6
88.7	8.0	4 4 4

Cell and atoms:
```
data_SnPbO3
_chemical_formula_sum 'Sn8 Pb8 O24'
_symmetry_space_group_name_H-M 'P b a m'
_symmetry_Int_Tables_number 55
_cell_length_a 5.8381
_cell_length_b 11.8203
_cell_length_c 8.1866
_cell_angle_alpha 90.00
_cell_angle_beta 90.00
_cell_angle_gamma 90.00
loop_
_symmetry_equiv_pos_as_xyz
'x,y,z'
'-x,-y,-z'
'-x,-y,z'
'x,y,-z'
'x+1/2,-y+1/2,-z'
'-x+1/2,y+1/2,z'
'-x+1/2,y+1/2,-z'
'x+1/2,-y+1/2,z'
loop_
_atom_site_label
_atom_site_fract_x
_atom_site_fract_y
_atom_site_fract_z
_atom_site_occupancy
Sn1 0.2491 0.1251 0.2499 1
Pb1 0.2266 0.3790 0.0000 1
Pb2 0.2313 0.3720 0.5000 1
O1 0.0000 0.0000 0.2156 1
O2 0.0000 0.5000 0.2024 1
O3 0.0299 0.2610 0.2879 1
O4 0.2062 0.5904 0.5000 1
O5 0.2262 0.6612 0.0000 1
```

***

[9]
The following is a simulated X-ray diffraction stick pattern of LaMg2V3S8. It was derived from a GGA-PBE-relaxed structure, using Cu Kα (weighted mean of Kα1 and Kα2).
Intensities are scaled so that the largest is 100.

Top 10 peaks for 15 to 90 degrees two-theta, low angle first:
2θ (°)	I (rel.)	(hkl)
16.7	20.5	1 -1 1
24.1	25.7	2 -1 0
27.4	41.2	1 -1 2
28.0	100.0	2 -1 1
33.8	86.9	0 2 0
33.9	43.2	2 -2 2
44.5	17.3	-3 1 2
44.9	21.7	3 0 -2
47.8	55.0	2 0 2
49.5	64.2	4 -2 0

Cell and atoms:
```
data_LaMg2V3S8
_chemical_formula_sum 'La1 Mg2 V3 S8'
_symmetry_space_group_name_H-M 'P -1'
_symmetry_Int_Tables_number 2
_cell_length_a 7.3646
_cell_length_b 7.3752
_cell_length_c 7.6067
_cell_angle_alpha 118.88
_cell_angle_beta 90.09
_cell_angle_gamma 119.94
loop_
_symmetry_equiv_pos_as_xyz
'x,y,z'
'-x,-y,-z'
loop_
_atom_site_label
_atom_site_fract_x
_atom_site_fract_y
_atom_site_fract_z
_atom_site_occupancy
La1 0.0000 0.0000 0.0000 1
Mg1 0.3725 0.7452 0.1196 1
V1 0.0000 0.0000 0.5000 1
V2 0.0000 0.5000 0.5000 1
V3 0.5000 0.5000 0.5000 1
S1 0.2241 0.9620 0.7001 1
S2 0.2389 0.4771 0.7165 1
S3 0.2621 0.0382 0.3007 1
S4 0.2617 0.5240 0.2999 1
```

***

[10]
The following is a simulated X-ray diffraction stick pattern of Tl3SiTe3. It was derived from a GGA-PBE-relaxed structure, using Cu Kα (weighted mean of Kα1 and Kα2).
Intensities are scaled so that the largest is 100.

Top 10 peaks for 15 to 90 degrees two-theta, low angle first:
2θ (°)	I (rel.)	(hkl)
25.8	56.9	1 0 3
27.8	30.7	1 0 -3
28.5	31.1	3 1 1
28.7	64.8	2 -2 0
28.8	100.0	1 3 -1
29.4	60.4	-2 1 2
29.8	34.1	2 0 3
30.2	65.3	3 1 -1
30.3	27.1	2 3 0
32.7	27.1	1 -2 3

Cell and atoms:
```
data_Tl3SiTe3
_chemical_formula_sum 'Tl12 Si4 Te12'
_symmetry_space_group_name_H-M 'P -1'
_symmetry_Int_Tables_number 2
_cell_length_a 9.6612
_cell_length_b 9.9364
_cell_length_c 10.7196
_cell_angle_alpha 89.23
_cell_angle_beta 83.66
_cell_angle_gamma 79.07
loop_
_symmetry_equiv_pos_as_xyz
'x,y,z'
'-x,-y,-z'
loop_
_atom_site_label
_atom_site_fract_x
_atom_site_fract_y
_atom_site_fract_z
_atom_site_occupancy
Tl1 0.0155 0.3726 0.3551 1
Tl2 0.1431 0.2257 0.9140 1
Tl3 0.1859 0.7131 0.2408 1
Tl4 0.3057 0.8451 0.8423 1
Tl5 0.3956 0.0401 0.3537 1
Tl6 0.4015 0.4345 0.6588 1
Si1 0.0744 0.9833 0.5814 1
Si2 0.4131 0.4303 0.0134 1
Te1 0.0773 0.0651 0.2209 1
Te2 0.1783 0.1995 0.5934 1
Te3 0.1921 0.5564 0.9230 1
Te4 0.2749 0.7793 0.5283 1
Te5 0.3744 0.3809 0.2461 1
Te6 0.4989 0.7913 0.1083 1
```